(1)
For Dy3Zn3Si2, DFT lattice parameters and positions (GGA-PBE) gives the theoretical powder diffractogram in this record (λ = 1.5418 Å (Cu Kα)).

Top 8 peaks for 2θ = 10–80°, in order of rising 2θ:
Position (°2θ)  I_rel
24.06  77
29.32  61
33.14  65
33.28  87
33.69  100
35.41  56
44.51  43
44.86  66

Crystal structure
Cell: 5.783 5.783 15.211 Å, 90.00 90.00 138.77°
Positions (direct):
Dy1 0.079 0.921 0.750
Dy2 0.361 0.639 0.592
Dy3 0.361 0.639 0.908
Dy4 0.639 0.361 0.092
Dy5 0.639 0.361 0.408
Dy6 0.921 0.079 0.250
Zn1 0.077 0.923 0.556
Zn2 0.077 0.923 0.944
Zn3 0.196 0.804 0.250
Zn4 0.804 0.196 0.750
Zn5 0.923 0.077 0.056
Zn6 0.923 0.077 0.444
Si1 0.341 0.659 0.117
Si2 0.341 0.659 0.383
Si3 0.659 0.341 0.617
Si4 0.659 0.341 0.883

(2)
For Dy2Zn3Si, DFT lattice parameters and positions (GGA-PBE) gives the theoretical powder diffractogram in this record (λ = 1.5418 Å (Cu Kα)).

Top 8 peaks for 2θ = 10–80°, in order of rising 2θ:
Position (°2θ)  I_rel
23.65  26
34.43  100
41.58  48
50.56  9
55.05  26
67.46  22
71.28  24
75.87  8

Crystal structure
Cell: 8.688 8.345 5.649 Å, 73.95 67.38 38.68°
Positions (direct):
Dy1 0.246 0.754 0.754
Dy2 0.250 0.250 0.250
Dy3 0.750 0.750 0.750
Dy4 0.754 0.246 0.246
Zn1 0.168 0.168 0.832
Zn2 0.170 0.664 0.336
Zn3 0.336 0.830 0.170
Zn4 0.664 0.170 0.830
Zn5 0.830 0.336 0.664
Zn6 0.832 0.832 0.168
Si1 0.334 0.334 0.666
Si2 0.666 0.666 0.334

(3)
For DyZrSi, DFT lattice parameters and positions (GGA-PBE) gives the theoretical powder diffractogram in this record (λ = 1.5418 Å (Cu Kα)).

Top 8 peaks for 2θ = 10–80°, in order of rising 2θ:
Position (°2θ)  I_rel
23.07  27
31.45  100
32.71  97
33.46  32
33.74  84
34.88  31
45.14  31
56.11  31

Crystal structure
Cell: 5.752 5.752 7.804 Å, 124.18 124.18 40.88°
Positions (direct):
Dy1 0.078 0.078 0.342
Dy2 0.922 0.922 0.658
Zr1 0.328 0.328 0.934
Zr2 0.672 0.672 0.066
Si1 0.368 0.368 0.332
Si2 0.632 0.632 0.668